[1]
Starting from a DFT-relaxed cell (GGA-PBE, Alexandria), the powder diffractogram of MgCu was simulated for Cu Kα (weighted mean of Kα1 and Kα2).
Kinematic intensities with the Lorentz-polarization factor, no thermal factor.

Crystal structure
Lattice parameters (Å, degrees): 3.237 4.363 8.940 90.00 90.00 90.00
Space group Imma (No. 74)
Inequivalent atoms, fractional coordinates:
Mg1 0.000 0.250 0.110 (multiplicity 4)
Cu1 0.000 0.250 0.644 (multiplicity 4)

Most intense lines, 10° ≤ 2θ ≤ 90°, in order of falling intensity:
| index | two_theta | I_rel |
| --- | --- | --- |
| 1 1 2 | 40.1 | 100 |
| 0 1 1 | 22.7 | 37 |
| 0 2 0 | 41.4 | 24 |
| 0 0 4 | 40.4 | 21 |
| 1 3 2 | 74.6 | 14 |
| 1 0 3 | 41.2 | 14 |
| 0 2 4 | 59.2 | 13 |
| 1 1 6 | 73.2 | 10 |
| 2 0 0 | 56.9 | 9 |
| 1 2 3 | 59.8 | 8 |


[2]
Starting from a DFT-relaxed cell (GGA-PBE, Alexandria), the powder diffractogram of Mg4Cu was simulated for Cu Kα (weighted mean of Kα1 and Kα2).
Kinematic intensities with the Lorentz-polarization factor, no thermal factor.

Crystal structure
Lattice parameters (Å, degrees): 6.378 6.378 5.167 90.00 90.00 90.00
Space group P4/mcc (No. 124)
Inequivalent atoms, fractional coordinates:
Mg1 0.162 0.330 0.000 (multiplicity 8)
Cu1 0.500 0.500 0.250 (multiplicity 2)

Most intense lines, 10° ≤ 2θ ≤ 90°, in order of falling intensity:
| index | two_theta | I_rel |
| --- | --- | --- |
| 1 0 0 | 13.9 | 100 |
| 2 1 1 | 36.0 | 53 |
| 2 1 0 | 31.4 | 34 |
| 3 1 0 | 44.9 | 34 |
| 2 0 2 | 45.2 | 33 |
| 1 1 2 | 40.2 | 29 |
| 1 0 2 | 37.6 | 20 |
| 1 1 0 | 19.7 | 18 |
| 2 1 2 | 47.5 | 17 |
| 3 3 2 | 72.8 | 15 |


[3]
Starting from a DFT-relaxed cell (GGA-PBE, Alexandria), the powder diffractogram of Mg14MnCu was simulated for Cu Kα (weighted mean of Kα1 and Kα2).
Kinematic intensities with the Lorentz-polarization factor, no thermal factor.

Crystal structure
Lattice parameters (Å, degrees): 10.085 6.245 10.739 90.00 90.00 90.00
Space group Amm2 (No. 38)
Inequivalent atoms, fractional coordinates:
Mg1 0.000 0.000 0.000 (multiplicity 2)
Mg2 0.000 0.000 0.499 (multiplicity 2)
Mg3 0.000 0.249 0.247 (multiplicity 4)
Mg4 0.253 0.000 0.833 (multiplicity 4)
Mg5 0.257 0.000 0.333 (multiplicity 4)
Mg6 0.271 0.249 0.577 (multiplicity 8)
Mg7 0.500 0.248 0.757 (multiplicity 4)
Mn1 0.500 0.000 0.996 (multiplicity 2)
Cu1 0.500 0.000 0.496 (multiplicity 2)

Most intense lines, 10° ≤ 2θ ≤ 90°, in order of falling intensity:
| index | two_theta | I_rel |
| --- | --- | --- |
| 2 2 2 | 37.8 | 100 |
| 2 0 4 | 38.0 | 47 |
| 4 0 0 | 35.6 | 37 |
| 0 2 2 | 33.2 | 24 |
| 4 2 6 | 71.3 | 17 |
| 6 2 2 | 65.4 | 16 |
| 0 2 6 | 59.5 | 16 |
| 4 2 2 | 49.5 | 15 |
| 0 0 4 | 33.4 | 14 |
| 2 4 4 | 72.5 | 12 |